# 1
Calculated powder diffractogram
Compound: AsPt9
Radiation: a wavelength of 1.5418 Å
Structure: a GGA-PBE-relaxed structure

Structural model:
```
AsPt9
1.0
2.826 0.000 0.000
0.000 2.826 0.000
0.000 0.000 47.785
As Pt
2 18
Direct
0.250 0.250 0.114
0.750 0.750 0.886
0.250 0.250 0.192
0.250 0.250 0.275
0.250 0.250 0.357
0.250 0.250 0.439
0.250 0.250 0.520
0.250 0.250 0.602
0.250 0.250 0.684
0.250 0.250 0.766
0.250 0.250 0.851
0.750 0.750 0.149
0.750 0.750 0.234
0.750 0.750 0.316
0.750 0.750 0.398
0.750 0.750 0.480
0.750 0.750 0.561
0.750 0.750 0.643
0.750 0.750 0.725
0.750 0.750 0.808
```

Main lines, sorted by position (10° ≤ 2θ ≤ 90°):
2theta, I/Imax
39.08, 100
40.25, 22
45.39, 41
45.56, 16
47.57, 7
66.13, 13
66.26, 18
67.85, 9
79.57, 26
79.83, 7
82.04, 8
83.98, 9



# 2
Calculated powder diffractogram
Compound: NpMoBr6Cl4
Radiation: a wavelength of 1.5418 Å
Structure: a GGA-PBE-relaxed structure

Structural model:
```
NpMoBr6Cl4
1.0
6.637 0.000 0.000
-2.988 6.541 0.000
-0.270 -3.523 9.305
Np Mo Br Cl
1 1 6 4
Direct
0.000 0.000 0.000
0.802 0.590 0.582
0.157 0.985 0.739
0.351 0.381 0.137
0.480 0.241 0.460
0.640 0.597 0.834
0.828 0.986 0.236
0.964 0.608 0.369
0.013 0.448 0.660
0.211 0.805 0.047
0.624 0.798 0.570
0.786 0.189 0.948
```

Main lines, sorted by position (10° ≤ 2θ ≤ 90°):
2theta, I/Imax
14.24, 98
14.92, 54
15.48, 100
16.86, 88
29.65, 83
30.00, 82
31.22, 73
38.67, 48
39.13, 34
46.43, 32
47.12, 32
47.37, 31



# 3
Calculated powder diffractogram
Compound: Cs4ZrO4
Radiation: a wavelength of 1.5418 Å
Structure: a GGA-PBE-relaxed structure

Structural model:
```
Cs4ZrO4
1.0
7.166 0.000 0.000
0.000 19.859 0.000
-2.810 0.000 6.583
Cs Zr O
16 4 16
Direct
0.159 0.082 0.226
0.159 0.418 0.726
0.203 0.217 0.681
0.203 0.283 0.181
0.280 0.015 0.751
0.280 0.485 0.251
0.318 0.688 0.321
0.318 0.812 0.821
0.682 0.188 0.179
0.682 0.312 0.679
0.720 0.515 0.749
0.720 0.985 0.249
0.797 0.717 0.819
0.797 0.783 0.319
0.841 0.582 0.274
0.841 0.918 0.774
0.245 0.623 0.799
0.245 0.877 0.299
0.755 0.123 0.701
0.755 0.377 0.201
0.071 0.690 0.602
0.071 0.810 0.102
0.092 0.594 0.968
0.092 0.906 0.468
0.291 0.548 0.635
0.291 0.952 0.135
0.498 0.168 0.517
0.498 0.332 0.017
0.502 0.668 0.983
0.502 0.832 0.483
0.709 0.048 0.865
0.709 0.452 0.365
0.908 0.094 0.532
0.908 0.406 0.032
0.929 0.190 0.898
0.929 0.310 0.398
```

Main lines, sorted by position (10° ≤ 2θ ≤ 90°):
2theta, I/Imax
26.20, 35
26.95, 100
27.08, 89
27.46, 39
28.90, 25
29.90, 54
31.97, 59
33.84, 20
42.06, 16
44.34, 34
47.84, 22
52.17, 16



# 4
Calculated powder diffractogram
Compound: AlCuTeSe
Radiation: a wavelength of 1.5418 Å
Structure: a GGA-PBE-relaxed structure

Structural model:
```
AlCuTeSe
1.0
-2.925 2.932 5.775
2.925 -2.932 5.775
2.925 2.932 -5.775
Al Cu Te Se
2 2 2 2
Direct
0.116 0.366 0.750
0.384 0.134 0.250
0.613 0.863 0.750
0.887 0.637 0.250
0.511 0.750 0.261
0.989 0.250 0.239
0.250 0.003 0.753
0.750 0.497 0.747
```

Main lines, sorted by position (10° ≤ 2θ ≤ 90°):
2theta, I/Imax
16.97, 6
26.48, 100
30.52, 8
43.71, 22
44.04, 43
51.84, 30
52.42, 15
70.08, 6
70.57, 12
80.48, 7
80.59, 7
81.23, 6



# 5
Calculated powder diffractogram
Compound: HoP3O9
Radiation: a wavelength of 1.5418 Å
Structure: a GGA-PBE-relaxed structure

Structural model:
```
HoP3O9
1.0
6.888 0.000 0.000
0.000 9.680 0.000
-0.208 0.000 10.714
Ho P O
4 12 36
Direct
0.000 0.000 0.000
0.150 0.000 0.522
0.473 0.500 0.452
0.624 0.500 0.974
0.049 0.243 0.752
0.049 0.757 0.752
0.138 0.500 0.887
0.486 0.000 0.084
0.574 0.257 0.221
0.574 0.743 0.221
0.633 0.000 0.613
0.637 0.284 0.703
0.637 0.716 0.703
0.986 0.216 0.271
0.986 0.784 0.271
0.989 0.500 0.362
0.014 0.379 0.262
0.014 0.621 0.262
0.034 0.160 0.146
0.034 0.840 0.146
0.092 0.161 0.383
0.092 0.839 0.383
0.153 0.500 0.456
0.171 0.376 0.791
0.171 0.624 0.791
0.173 0.164 0.665
0.173 0.836 0.665
0.300 0.500 0.982
0.323 0.000 0.990
0.449 0.335 0.309
0.449 0.665 0.309
0.452 0.124 0.181
0.452 0.876 0.181
0.470 0.000 0.518
0.531 0.339 0.591
0.531 0.661 0.591
0.589 0.340 0.829
0.589 0.660 0.829
0.607 0.121 0.713
0.607 0.879 0.713
0.649 0.331 0.109
0.649 0.669 0.109
0.688 0.000 0.038
0.758 0.193 0.298
0.758 0.807 0.298
0.788 0.500 0.412
0.834 0.000 0.564
0.865 0.305 0.675
0.865 0.695 0.675
0.935 0.500 0.933
0.976 0.170 0.866
0.976 0.830 0.866
```

Main lines, sorted by position (10° ≤ 2θ ≤ 90°):
2theta, I/Imax
15.79, 57
18.33, 22
18.93, 28
22.77, 39
23.14, 20
24.79, 100
25.88, 26
28.60, 22
28.90, 25
35.10, 14
37.14, 14
45.78, 16



# 6
Calculated powder diffractogram
Compound: SrAlGaPdAu
Radiation: a wavelength of 1.5418 Å
Structure: a GGA-PBE-relaxed structure

Structural model:
```
SrAlGaPdAu
1.0
4.474 0.000 0.000
0.000 4.474 0.000
0.000 0.000 10.558
Sr Al Ga Pd Au
2 2 2 2 2
Direct
0.250 0.250 0.241
0.750 0.750 0.759
0.250 0.750 0.500
0.750 0.250 0.500
0.250 0.250 0.885
0.750 0.750 0.115
0.250 0.750 0.000
0.750 0.250 0.000
0.250 0.250 0.632
0.750 0.750 0.368
```

Main lines, sorted by position (10° ≤ 2θ ≤ 90°):
2theta, I/Imax
21.57, 42
26.11, 43
28.21, 49
29.48, 42
32.37, 100
33.01, 71
40.32, 93
44.71, 57
47.62, 39
52.62, 50
58.34, 31
64.12, 32



# 7
Calculated powder diffractogram
Compound: Nb4Ga3W2C3
Radiation: a wavelength of 1.5418 Å
Structure: a GGA-PBE-relaxed structure

Structural model:
```
Nb4Ga3W2C3
1.0
4.706 -2.721 0.000
4.706 2.721 0.000
-3.153 0.000 13.351
Nb Ga W C
8 6 4 6
Direct
0.033 0.196 0.093
0.134 0.302 0.407
0.196 0.033 0.593
0.302 0.134 0.907
0.698 0.866 0.093
0.804 0.967 0.407
0.866 0.698 0.593
0.967 0.804 0.907
0.114 0.886 0.250
0.273 0.419 0.750
0.419 0.273 0.250
0.581 0.727 0.750
0.727 0.581 0.250
0.886 0.114 0.750
0.359 0.527 0.083
0.473 0.641 0.417
0.527 0.359 0.583
0.641 0.473 0.917
0.000 0.500 0.000
0.168 0.666 0.500
0.334 0.832 0.000
0.500 0.000 0.500
0.666 0.168 0.000
0.832 0.334 0.500
```

Main lines, sorted by position (10° ≤ 2θ ≤ 90°):
2theta, I/Imax
13.26, 8
18.97, 7
32.94, 23
33.64, 5
38.81, 100
40.54, 18
53.19, 14
58.80, 14
58.87, 7
72.60, 14
72.70, 10
73.86, 15



# 8
Calculated powder diffractogram
Compound: BaZnGe2Ir
Radiation: a wavelength of 1.5418 Å
Structure: a GGA-PBE-relaxed structure

Structural model:
```
BaZnGe2Ir
1.0
-2.133 2.133 6.071
2.133 -2.133 6.071
2.133 2.133 -6.071
Ba Zn Ge Ir
1 1 2 1
Direct
0.000 0.000 0.000
0.250 0.750 0.500
0.361 0.361 0.000
0.639 0.639 0.000
0.750 0.250 0.500
```

Main lines, sorted by position (10° ≤ 2θ ≤ 90°):
2theta, I/Imax
14.59, 32
22.08, 30
30.44, 77
33.16, 100
42.23, 28
42.37, 56
42.85, 17
53.06, 32
54.61, 39
61.47, 18
71.65, 21
86.75, 21



# 9
Calculated powder diffractogram
Compound: HoSnAuS3
Radiation: a wavelength of 1.5418 Å
Structure: a GGA-PBE-relaxed structure

Structural model:
```
HoSnAuS3
1.0
14.423 0.000 0.000
0.000 4.066 0.000
0.000 0.000 10.918
Ho Sn Au S
4 4 4 12
Direct
0.011 0.250 0.154
0.489 0.750 0.654
0.511 0.250 0.346
0.989 0.750 0.846
0.242 0.250 0.920
0.258 0.750 0.420
0.742 0.250 0.580
0.758 0.750 0.080
0.107 0.250 0.540
0.393 0.750 0.040
0.607 0.250 0.960
0.893 0.750 0.460
0.096 0.250 0.752
0.104 0.750 0.040
0.148 0.250 0.331
0.352 0.750 0.831
0.396 0.250 0.540
0.404 0.750 0.252
0.596 0.250 0.748
0.604 0.750 0.460
0.648 0.250 0.169
0.852 0.750 0.669
0.896 0.250 0.960
0.904 0.750 0.248
```

Main lines, sorted by position (10° ≤ 2θ ≤ 90°):
2theta, I/Imax
16.24, 28
20.18, 36
24.68, 43
25.18, 100
26.45, 36
28.05, 46
29.92, 94
32.09, 33
33.20, 24
37.91, 22
44.56, 56
47.25, 40



# 10
Calculated powder diffractogram
Compound: Nb6SbPt
Radiation: a wavelength of 1.5418 Å
Structure: a GGA-PBE-relaxed structure

Structural model:
```
Nb6SbPt
1.0
5.251 0.000 0.000
0.000 5.251 0.000
0.000 0.000 5.251
Nb Sb Pt
6 1 1
Direct
0.000 0.254 0.500
0.000 0.746 0.500
0.254 0.500 0.000
0.500 0.000 0.254
0.500 0.000 0.746
0.746 0.500 0.000
0.000 0.000 0.000
0.500 0.500 0.500
```

Main lines, sorted by position (10° ≤ 2θ ≤ 90°):
2theta, I/Imax
16.89, 5
23.97, 12
34.15, 45
38.33, 78
42.16, 100
55.33, 3
63.93, 17
66.65, 51
71.93, 15
82.08, 14
84.57, 15
87.05, 13



# 11
Calculated powder diffractogram
Compound: Sn2As3Pt2
Radiation: a wavelength of 1.5418 Å
Structure: a GGA-PBE-relaxed structure

Structural model:
```
Sn2As3Pt2
1.0
4.620 0.000 0.000
-2.310 4.001 0.000
0.000 0.000 16.068
Sn As Pt
4 6 4
Direct
0.333 0.667 0.066
0.333 0.667 0.434
0.667 0.333 0.566
0.667 0.333 0.934
0.000 0.000 0.159
0.000 0.000 0.341
0.000 0.000 0.659
0.000 0.000 0.841
0.333 0.667 0.750
0.667 0.333 0.250
0.000 0.000 0.000
0.000 0.000 0.500
0.333 0.667 0.250
0.667 0.333 0.750
```

Main lines, sorted by position (10° ≤ 2θ ≤ 90°):
2theta, I/Imax
22.15, 27
22.91, 35
24.86, 28
35.84, 27
38.99, 100
40.53, 79
45.29, 21
57.50, 29
70.63, 18
71.67, 30
83.44, 13
83.74, 12